No. 1
This entry pairs a crystal structure of Sr2RhS with its simulated powder diffraction line list. Radiation: Cu Kα. Structure: a cell relaxed with PBE.
No peak broadening, texture or thermal motion is included.

Crystal structure
Unit cell a=6.6223 b=6.6223 c=6.6223 alpha=107.68 beta=107.68 gamma=113.12
Fractional coordinates of all 8 atoms:
Sr (0.1236, 0.6250, 0.9986)
Sr (0.3750, 0.3736, 0.4986)
Sr (0.6264, 0.1250, 0.0014)
Sr (0.8750, 0.8764, 0.5014)
Rh (0.2500, 0.7500, 0.5000)
Rh (0.5000, 0.5000, 0.0000)
S (0.0000, 0.0000, 0.0000)
S (0.7500, 0.2500, 0.5000)

Most intense lines, 15 to 90 degrees two-theta, sorted by position:
d 5.334, 16.6 deg, intensity 19
d 3.152, 28.3 deg, intensity 12
d 3.045, 29.3 deg, intensity 100
d 2.763, 32.4 deg, intensity 75
d 2.046, 44.3 deg, intensity 63
d 1.954, 46.5 deg, intensity 27
d 1.653, 55.6 deg, intensity 31
d 1.644, 55.9 deg, intensity 16
d 1.413, 66.1 deg, intensity 19
d 1.262, 75.3 deg, intensity 25
d 1.258, 75.6 deg, intensity 13
d 1.236, 77.2 deg, intensity 12

No. 2
This entry pairs a crystal structure of SrU4Rh3S12 with its simulated powder diffraction line list. Radiation: Cu Kα. Structure: a cell relaxed with PBE.
No peak broadening, texture or thermal motion is included.

Crystal structure
Unit cell a=8.3532 b=8.3532 c=8.3532 alpha=109.47 beta=109.47 gamma=109.47
Fractional coordinates of all 20 atoms:
Sr (0.0000, 0.0000, 0.0000)
U (0.0000, 0.0000, 0.5000)
U (0.0000, 0.5000, 0.0000)
U (0.5000, 0.0000, 0.0000)
U (0.5000, 0.5000, 0.5000)
Rh (0.0000, 0.5000, 0.5000)
Rh (0.5000, 0.0000, 0.5000)
Rh (0.5000, 0.5000, 0.0000)
S (0.1551, 0.8424, 0.3127)
S (0.1576, 0.3127, 0.4703)
S (0.1576, 0.6873, 0.8449)
S (0.3127, 0.1551, 0.8424)
S (0.3127, 0.4703, 0.1576)
S (0.4703, 0.1576, 0.3127)
S (0.5297, 0.8424, 0.6873)
S (0.6873, 0.5297, 0.8424)
S (0.6873, 0.8449, 0.1576)
S (0.8424, 0.3127, 0.1551)
S (0.8424, 0.6873, 0.5297)
S (0.8449, 0.1576, 0.6873)

Most intense lines, 15 to 90 degrees two-theta, sorted by position:
d 4.823, 18.4 deg, intensity 20
d 3.410, 26.1 deg, intensity 100
d 2.411, 37.3 deg, intensity 25
d 2.157, 41.9 deg, intensity 14
d 1.969, 46.1 deg, intensity 61
d 1.705, 53.8 deg, intensity 15
d 1.525, 60.7 deg, intensity 23
d 1.454, 64.0 deg, intensity 4
d 1.392, 67.2 deg, intensity 6
d 1.289, 73.5 deg, intensity 25
d 1.170, 82.5 deg, intensity 5
d 1.137, 85.4 deg, intensity 18